RbSm2CuSeS3: simulated X-ray diffraction stick pattern (a wavelength of 1.5418 Å), based on a PBE-relaxed structure.
Kinematic intensities with the Lorentz-polarization factor, no thermal factor.

Crystal structure
```
data_RbSm2CuSeS3
_chemical_formula_sum 'Rb4 Sm8 Cu4 Se4 S12'
_cell_length_a 4.078
_cell_length_b 14.110
_cell_length_c 14.139
_cell_angle_alpha 90.00
_cell_angle_beta 90.00
_cell_angle_gamma 90.00
_symmetry_space_group_name_H-M 'C m c m'
_symmetry_Int_Tables_number 63
_symmetry_space_group_name_Hall '-C 2c 2'
loop_
_atom_site_label
_atom_site_type_symbol
_atom_site_fract_x
_atom_site_fract_y
_atom_site_fract_z
_atom_site_occupancy
Rb1 Rb 0.000 0.115 0.250 1
Sm1 Sm 0.000 0.366 0.058 1
Cu1 Cu 0.000 0.168 0.750 1
Se1 Se 0.000 0.431 0.250 1
S1 S 0.000 0.000 0.000 1
S2 S 0.000 0.258 0.610 1
```

Main lines, by angle (10 to 90 degrees two-theta):
- (0 2 1), 14.03°, d = 6.313 Å, rel. 49.9
- (0 2 3), 22.69°, d = 3.919 Å, rel. 62.2
- (0 4 0), 25.23°, d = 3.530 Å, rel. 55.0
- (1 1 2), 26.00°, d = 3.427 Å, rel. 25.9
- (1 3 1), 29.67°, d = 3.011 Å, rel. 70.5
- (1 3 2), 31.68°, d = 2.825 Å, rel. 100.0
- (0 2 5), 34.16°, d = 2.625 Å, rel. 34.3
- (1 1 5), 39.30°, d = 2.293 Å, rel. 31.5
- (0 6 3), 42.98°, d = 2.104 Å, rel. 25.5
- (1 5 3), 43.46°, d = 2.082 Å, rel. 73.6
- (2 0 0), 44.43°, d = 2.039 Å, rel. 29.9
- (2 2 5), 57.20°, d = 1.610 Å, rel. 25.7

RbTb2Cu3Se4S: simulated X-ray diffraction stick pattern (a wavelength of 1.5418 Å), based on a PBE-relaxed structure.
Kinematic intensities with the Lorentz-polarization factor, no thermal factor.

Crystal structure
```
data_RbTb2Cu3Se4S
_chemical_formula_sum 'Rb4 Tb8 Cu12 Se16 S4'
_cell_length_a 4.096
_cell_length_b 14.566
_cell_length_c 16.961
_cell_angle_alpha 90.00
_cell_angle_beta 90.00
_cell_angle_gamma 90.00
_symmetry_space_group_name_H-M 'C m c m'
_symmetry_Int_Tables_number 63
_symmetry_space_group_name_Hall '-C 2c 2'
loop_
_atom_site_label
_atom_site_type_symbol
_atom_site_fract_x
_atom_site_fract_y
_atom_site_fract_z
_atom_site_occupancy
Rb1 Rb 0.000 0.067 0.250 1
Tb1 Tb 0.000 0.192 0.595 1
Cu1 Cu 0.000 0.338 0.250 1
Cu2 Cu 0.000 0.415 0.528 1
Se1 Se 0.000 0.166 0.072 1
Se2 Se 0.000 0.442 0.118 1
S1 S 0.000 0.236 0.750 1
```

Main lines, by angle (10 to 90 degrees two-theta):
- (0 0 2), 10.43°, d = 8.480 Å, rel. 71.9
- (1 1 3), 27.58°, d = 3.234 Å, rel. 46.2
- (1 3 0), 28.51°, d = 3.131 Å, rel. 91.8
- (1 3 1), 29.01°, d = 3.078 Å, rel. 100.0
- (1 3 2), 30.44°, d = 2.937 Å, rel. 73.6
- (0 0 6), 31.65°, d = 2.827 Å, rel. 69.6
- (1 3 4), 35.65°, d = 2.519 Å, rel. 94.3
- (1 5 0), 37.90°, d = 2.374 Å, rel. 57.4
- (0 2 7), 39.20°, d = 2.298 Å, rel. 58.8
- (1 5 2), 39.42°, d = 2.286 Å, rel. 48.6
- (2 0 0), 44.23°, d = 2.048 Å, rel. 71.4
- (1 3 7), 47.45°, d = 1.916 Å, rel. 63.1

RbTm2Cu3SeS4: simulated X-ray diffraction stick pattern (a wavelength of 1.5418 Å), based on a PBE-relaxed structure.
Kinematic intensities with the Lorentz-polarization factor, no thermal factor.

Crystal structure
```
data_RbTm2Cu3SeS4
_chemical_formula_sum 'Rb4 Tm8 Cu12 Se4 S16'
_cell_length_a 3.940
_cell_length_b 13.888
_cell_length_c 16.523
_cell_angle_alpha 90.00
_cell_angle_beta 90.00
_cell_angle_gamma 90.00
_symmetry_space_group_name_H-M 'C m c m'
_symmetry_Int_Tables_number 63
_symmetry_space_group_name_Hall '-C 2c 2'
loop_
_atom_site_label
_atom_site_type_symbol
_atom_site_fract_x
_atom_site_fract_y
_atom_site_fract_z
_atom_site_occupancy
Rb1 Rb 0.000 0.061 0.250 1
Tm1 Tm 0.000 0.190 0.590 1
Cu1 Cu 0.000 0.354 0.250 1
Cu2 Cu 0.000 0.416 0.538 1
Se1 Se 0.000 0.244 0.750 1
S1 S 0.000 0.170 0.070 1
S2 S 0.000 0.438 0.112 1
```

Main lines, by angle (10 to 90 degrees two-theta):
- (0 2 0), 12.75°, d = 6.944 Å, rel. 81.3
- (0 2 1), 13.83°, d = 6.402 Å, rel. 43.9
- (0 4 1), 26.23°, d = 3.398 Å, rel. 56.5
- (1 1 3), 28.59°, d = 3.122 Å, rel. 100.0
- (1 3 0), 29.78°, d = 3.000 Å, rel. 51.7
- (1 3 1), 30.28°, d = 2.952 Å, rel. 77.5
- (1 3 2), 31.73°, d = 2.820 Å, rel. 66.8
- (0 0 6), 32.51°, d = 2.754 Å, rel. 88.3
- (1 3 4), 37.03°, d = 2.428 Å, rel. 64.7
- (1 5 0), 39.71°, d = 2.270 Å, rel. 63.3
- (2 0 0), 46.08°, d = 1.970 Å, rel. 58.5
- (1 3 7), 49.11°, d = 1.855 Å, rel. 64.1

RbTm2CuSe3S: simulated X-ray diffraction stick pattern (a wavelength of 1.5418 Å), based on a PBE-relaxed structure.
Kinematic intensities with the Lorentz-polarization factor, no thermal factor.

Crystal structure
```
data_RbTm2CuSe3S
_chemical_formula_sum 'Rb4 Tm8 Cu4 Se12 S4'
_cell_length_a 4.030
_cell_length_b 13.991
_cell_length_c 14.301
_cell_angle_alpha 90.00
_cell_angle_beta 90.00
_cell_angle_gamma 90.00
_symmetry_space_group_name_H-M 'C m c m'
_symmetry_Int_Tables_number 63
_symmetry_space_group_name_Hall '-C 2c 2'
loop_
_atom_site_label
_atom_site_type_symbol
_atom_site_fract_x
_atom_site_fract_y
_atom_site_fract_z
_atom_site_occupancy
Rb1 Rb 0.000 0.117 0.250 1
Tm1 Tm 0.000 0.372 0.063 1
Cu1 Cu 0.000 0.164 0.750 1
Se1 Se 0.000 0.260 0.606 1
Se2 Se 0.000 0.433 0.250 1
S1 S 0.000 0.000 0.000 1
```

Main lines, by angle (10 to 90 degrees two-theta):
- (0 2 1), 14.09°, d = 6.284 Å, rel. 60.9
- (0 2 3), 22.57°, d = 3.939 Å, rel. 60.1
- (1 1 2), 26.17°, d = 3.405 Å, rel. 32.4
- (1 3 1), 29.96°, d = 2.982 Å, rel. 95.8
- (1 3 2), 31.91°, d = 2.805 Å, rel. 100.0
- (0 2 5), 33.86°, d = 2.647 Å, rel. 39.3
- (0 0 6), 37.74°, d = 2.384 Å, rel. 36.1
- (1 1 5), 39.16°, d = 2.300 Å, rel. 43.8
- (0 6 3), 43.19°, d = 2.095 Å, rel. 38.6
- (1 3 5), 43.37°, d = 2.086 Å, rel. 33.9
- (1 5 3), 43.72°, d = 2.070 Å, rel. 68.5
- (2 0 0), 44.98°, d = 2.015 Å, rel. 42.5

RbCu3SnS4: simulated X-ray diffraction stick pattern (a wavelength of 1.5418 Å), based on a PBE-relaxed structure.
Kinematic intensities with the Lorentz-polarization factor, no thermal factor.

Crystal structure
```
data_RbCu3SnS4
_chemical_formula_sum 'Rb2 Cu6 Sn2 S8'
_cell_length_a 5.731
_cell_length_b 7.563
_cell_length_c 9.873
_cell_angle_alpha 90.00
_cell_angle_beta 104.25
_cell_angle_gamma 90.00
_symmetry_space_group_name_H-M 'P 1 21/m 1'
_symmetry_Int_Tables_number 11
loop_
_symmetry_equiv_pos_as_xyz
'x,y,z'
'-x,-y,-z'
'-x,y+1/2,-z'
'x,-y+1/2,z'
loop_
_atom_site_label
_atom_site_type_symbol
_atom_site_fract_x
_atom_site_fract_y
_atom_site_fract_z
_atom_site_occupancy
Rb1 Rb 0.201 0.250 0.370 1
Cu1 Cu 0.307 0.573 0.022 1
Cu2 Cu 0.419 0.750 0.258 1
Sn1 Sn 0.119 0.250 0.787 1
S1 S 0.023 0.250 0.017 1
S2 S 0.202 0.750 0.419 1
S3 S 0.381 0.511 0.793 1
```

Main lines, by angle (10 to 90 degrees two-theta):
- (0 1 1), 14.93°, d = 5.933 Å, rel. 100.0
- (0 1 2), 21.98°, d = 4.043 Å, rel. 25.5
- (0 2 0), 23.53°, d = 3.781 Å, rel. 40.8
- (0 2 1), 25.32°, d = 3.517 Å, rel. 26.6
- (1 0 -3), 28.58°, d = 3.123 Å, rel. 51.8
- (2 1 0), 34.40°, d = 2.607 Å, rel. 47.1
- (2 1 -2), 35.19°, d = 2.550 Å, rel. 25.9
- (1 3 0), 39.24°, d = 2.296 Å, rel. 27.9
- (2 2 1), 43.30°, d = 2.090 Å, rel. 42.1
- (2 2 -3), 44.60°, d = 2.032 Å, rel. 30.1
- (0 4 0), 48.14°, d = 1.890 Å, rel. 27.5
- (2 2 -4), 49.97°, d = 1.825 Å, rel. 31.2

Rb3Ta2Cu3S8: simulated X-ray diffraction stick pattern (a wavelength of 1.5418 Å), based on a PBE-relaxed structure.
Kinematic intensities with the Lorentz-polarization factor, no thermal factor.

Crystal structure
```
data_Rb3Ta2Cu3S8
_chemical_formula_sum 'Rb6 Ta4 Cu6 S16'
_cell_length_a 20.501
_cell_length_b 5.585
_cell_length_c 7.492
_cell_angle_alpha 90.00
_cell_angle_beta 97.03
_cell_angle_gamma 90.00
_symmetry_space_group_name_H-M 'C 1 2 1'
_symmetry_Int_Tables_number 5
loop_
_symmetry_equiv_pos_as_xyz
'x,y,z'
'-x,y,-z'
'x+1/2,y+1/2,z'
'-x+1/2,y+1/2,-z'
loop_
_atom_site_label
_atom_site_type_symbol
_atom_site_fract_x
_atom_site_fract_y
_atom_site_fract_z
_atom_site_occupancy
Rb1 Rb 0.000 0.000 0.000 1
Rb2 Rb 0.183 0.523 0.198 1
Ta1 Ta 0.127 0.273 0.688 1
Cu1 Cu 0.000 0.267 0.500 1
Cu2 Cu 0.123 0.773 0.681 1
S1 S 0.039 0.508 0.749 1
S2 S 0.092 0.039 0.440 1
S3 S 0.158 0.022 0.926 1
S4 S 0.211 0.522 0.640 1
```

Main lines, by angle (10 to 90 degrees two-theta):
- (2 0 -1), 13.87°, d = 6.387 Å, rel. 100.0
- (2 0 1), 15.60°, d = 5.681 Å, rel. 56.0
- (1 1 0), 16.46°, d = 5.385 Å, rel. 35.7
- (4 0 0), 17.43°, d = 5.087 Å, rel. 44.7
- (1 1 -1), 20.04°, d = 4.430 Å, rel. 39.2
- (2 0 -2), 24.47°, d = 3.638 Å, rel. 48.8
- (6 0 -1), 27.54°, d = 3.239 Å, rel. 40.5
- (5 1 -1), 28.57°, d = 3.124 Å, rel. 27.7
- (1 1 2), 29.64°, d = 3.014 Å, rel. 51.4
- (2 2 -1), 35.07°, d = 2.558 Å, rel. 44.1
- (6 2 1), 44.68°, d = 2.028 Å, rel. 51.5
- (4 2 -3), 50.86°, d = 1.795 Å, rel. 43.9